(1)
Simulated powder diffraction line list of PuMnCo2H8 for Cu Kα (λ = 1.5418 Å), from a PBE-relaxed structure.
Lines closer than 0.1° are merged.

Top 10 peaks for 2θ = 10–80°, by angle:
index	2θ/deg	intensity
1 0 1	24.12	100
0 1 2	25.71	76
0 0 6	30.68	56
1 0 4	31.31	47
0 1 5	34.98	40
1 1 0	41.43	74
1 0 7	43.45	21
0 2 1	48.51	16
1 1 6	52.43	75
2 -1 12	79.06	22

Atomic structure:
```
data_PuMnCo2H8
_chemical_formula_sum 'Pu3 Mn3 Co6 H24'
_cell_length_a 4.3588
_cell_length_b 4.3588
_cell_length_c 17.4823
_cell_angle_alpha 90.00
_cell_angle_beta 90.00
_cell_angle_gamma 120.00
_symmetry_space_group_name_H-M 'R -3'
_symmetry_Int_Tables_number 148
_symmetry_space_group_name_Hall '-R 3'
loop_
_atom_site_label
_atom_site_fract_x
_atom_site_fract_y
_atom_site_fract_z
Pu1 0.0000 0.0000 0.0000
Mn1 0.0000 0.0000 0.5000
Co1 0.0000 0.0000 0.1671
H1 0.0000 0.0000 0.3521
H2 0.0016 0.6274 0.5530
```

---

(2)
Simulated powder diffraction line list of MnCo2TcH for Cu Kα (λ = 1.5418 Å), from a PBE-relaxed structure.
Lines closer than 0.1° are merged.

Top 10 peaks for 2θ = 10–80°, by angle:
index	2θ/deg	intensity
0 0 1	23.19	2
1 0 0	25.13	6
1 0 1	34.46	5
1 1 1	43.13	100
0 0 2	47.41	19
2 0 0	51.59	29
1 0 2	54.40	1
2 1 1	63.52	2
2 0 2	72.66	19
2 2 0	75.96	9

Atomic structure:
```
data_MnCo2TcH
_chemical_formula_sum 'Mn1 Co2 Tc1 H1'
_cell_length_a 3.543
_cell_length_b 3.543
_cell_length_c 3.835
_cell_angle_alpha 90.00
_cell_angle_beta 90.00
_cell_angle_gamma 90.00
_symmetry_space_group_name_H-M 'P 4/m m m'
_symmetry_Int_Tables_number 123
_symmetry_space_group_name_Hall '-P 4 2'
loop_
_atom_site_label
_atom_site_fract_x
_atom_site_fract_y
_atom_site_fract_z
Mn1 0.000 0.000 0.000
Co1 0.000 0.500 0.500
Tc1 0.500 0.500 0.000
H1 0.500 0.500 0.500
```

---

(3)
Simulated powder diffraction line list of Co2MoH for Cu Kα (λ = 1.5418 Å), from a PBE-relaxed structure.
Lines closer than 0.1° are merged.

Top 10 peaks for 2θ = 10–80°, by angle:
index	2θ/deg	intensity
0 2 0	22.47	5
1 1 1	30.72	7
2 0 0	40.72	32
0 0 2	40.84	33
1 3 1	44.94	100
2 2 0	47.00	2
2 0 2	59.04	21
0 6 0	71.53	6
3 3 1	77.08	17
1 3 3	77.24	19

Atomic structure:
```
data_Co2MoH
_chemical_formula_sum 'Co8 Mo4 H4'
_cell_length_a 4.431
_cell_length_b 7.914
_cell_length_c 4.419
_cell_angle_alpha 90.00
_cell_angle_beta 90.00
_cell_angle_gamma 90.00
_symmetry_space_group_name_H-M 'C c c m'
_symmetry_Int_Tables_number 66
_symmetry_space_group_name_Hall '-C 2 2c'
loop_
_atom_site_label
_atom_site_fract_x
_atom_site_fract_y
_atom_site_fract_z
Co1 0.230 0.086 0.000
Mo1 0.250 0.250 0.500
H1 0.000 0.500 0.250
```

---

(4)
Simulated powder diffraction line list of CoMo3H4 for Cu Kα (λ = 1.5418 Å), from a PBE-relaxed structure.
Lines closer than 0.1° are merged.

Top 10 peaks for 2θ = 10–80°, by angle:
index	2θ/deg	intensity
1 0 0	22.04	3
1 1 0	31.37	3
1 1 1	38.67	100
2 0 0	44.96	51
2 1 0	50.61	1
2 1 1	55.84	1
2 2 0	65.46	31
3 0 0	69.99	1
3 1 0	74.39	1
3 1 1	78.70	36

Atomic structure:
```
data_CoMo3H4
_chemical_formula_sum 'Co1 Mo3 H4'
_cell_length_a 4.033
_cell_length_b 4.033
_cell_length_c 4.033
_cell_angle_alpha 90.00
_cell_angle_beta 90.00
_cell_angle_gamma 90.00
_symmetry_space_group_name_H-M 'P m -3 m'
_symmetry_Int_Tables_number 221
_symmetry_space_group_name_Hall '-P 4 2 3'
loop_
_atom_site_label
_atom_site_fract_x
_atom_site_fract_y
_atom_site_fract_z
Co1 0.000 0.000 0.000
Mo1 0.000 0.500 0.500
H1 0.000 0.000 0.500
H2 0.500 0.500 0.500
```

---

(5)
Simulated powder diffraction line list of CoNi2MoH for Cu Kα (λ = 1.5418 Å), from a PBE-relaxed structure.
Lines closer than 0.1° are merged.

Top 10 peaks for 2θ = 10–80°, by angle:
index	2θ/deg	intensity
0 0 1	23.70	1
1 0 0	24.81	3
1 0 1	34.58	3
1 1 0	35.37	1
1 1 1	43.02	100
0 0 2	48.49	18
2 0 0	50.89	30
2 1 1	62.99	1
2 0 2	72.93	19
2 2 0	74.84	9

Atomic structure:
```
data_CoNi2MoH
_chemical_formula_sum 'Co1 Ni2 Mo1 H1'
_cell_length_a 3.589
_cell_length_b 3.589
_cell_length_c 3.754
_cell_angle_alpha 90.00
_cell_angle_beta 90.00
_cell_angle_gamma 90.00
_symmetry_space_group_name_H-M 'P 4/m m m'
_symmetry_Int_Tables_number 123
_symmetry_space_group_name_Hall '-P 4 2'
loop_
_atom_site_label
_atom_site_fract_x
_atom_site_fract_y
_atom_site_fract_z
Co1 0.000 0.000 0.000
Ni1 0.000 0.500 0.500
Mo1 0.500 0.500 0.000
H1 0.000 0.000 0.500
```

---

(6)
Simulated powder diffraction line list of CoHN for Cu Kα (λ = 1.5418 Å), from a PBE-relaxed structure.
Lines closer than 0.1° are merged.

Top 10 peaks for 2θ = 10–80°, by angle:
index	2θ/deg	intensity
0 0 3	22.58	100
1 0 1	36.55	68
0 1 2	38.94	35
0 0 6	46.09	10
1 0 4	47.49	41
0 1 5	53.20	17
1 1 0	64.17	16
1 0 7	66.75	14
1 1 3	68.96	21
0 1 8	74.51	8

Atomic structure:
```
data_CoHN
_chemical_formula_sum 'Co3 H3 N3'
_cell_length_a 2.9027
_cell_length_b 2.9027
_cell_length_c 11.8156
_cell_angle_alpha 90.00
_cell_angle_beta 90.00
_cell_angle_gamma 120.00
_symmetry_space_group_name_H-M 'R 3 m'
_symmetry_Int_Tables_number 160
_symmetry_space_group_name_Hall 'R 3 -2"'
loop_
_atom_site_label
_atom_site_fract_x
_atom_site_fract_y
_atom_site_fract_z
Co1 0.0000 0.0000 0.0000
H1 0.0000 0.0000 0.8146
N1 0.0000 0.0000 0.7240
```